[1]
K3CoI6: simulated PXRD pattern (Cu Kα (weighted mean of Kα1 and Kα2)), based on a structure optimized by DFT (GGA-PBE).
Kinematic intensities with the Lorentz-polarization factor, no thermal factor.

The 12 most intense peaks (2θ = 10–80°), most intense first:
(hkl)  Position (°2θ)  I_rel
0 4 2  31.71  1000
0 4 0  18.95  912
3 3 1  26.50  762
0 4 1  22.78  584
3 5 0  30.16  423
0 0 2  25.19  399
1 3 0  15.44  369
6 0 0  37.21  277
2 2 1  19.93  261
2 8 0  40.48  229
3 1 3  42.97  218
4 8 2  53.28  216

Cell and atoms:
```
data_K3CoI6
_chemical_formula_sum 'K12 Co4 I24'
_cell_length_a 14.4981
_cell_length_b 18.7532
_cell_length_c 7.0695
_cell_angle_alpha 90.00
_cell_angle_beta 90.00
_cell_angle_gamma 90.00
_symmetry_space_group_name_H-M 'C m c 21'
_symmetry_Int_Tables_number 36
_symmetry_space_group_name_Hall 'C 2c -2'
loop_
_atom_site_label
_atom_site_type_symbol
_atom_site_fract_x
_atom_site_fract_y
_atom_site_fract_z
K1 K 0.0000 0.1169 0.0000
K2 K 0.1825 0.3873 0.9689
Co1 Co 0.0000 0.2993 0.3962
I1 I 0.0000 0.2893 0.7572
I2 I 0.0000 0.4318 0.2978
I3 I 0.1466 0.2378 0.2706
I4 I 0.1616 0.0039 0.7316
```

***

[2]
Ni23OsRh6: simulated PXRD pattern (Cu Kα (weighted mean of Kα1 and Kα2)), based on a structure optimized by DFT (GGA-PBE).
Kinematic intensities with the Lorentz-polarization factor, no thermal factor.

The 12 most intense peaks (2θ = 10–80°), most intense first:
(hkl)  Position (°2θ)  I_rel
4 4 0  45.45  1000
5 1 1  41.56  389
4 2 0  35.56  195
6 0 0  48.37  117
5 3 3  53.20  93
8 0 0  66.22  86
4 0 0  31.70  82
5 5 5  72.51  75
8 4 0  75.29  62
3 1 1  26.18  49
6 4 4  68.54  46
5 5 3  63.27  46

Cell and atoms:
```
data_Ni23OsRh6
_chemical_formula_sum 'Ni92 Os4 Rh24'
_cell_length_a 11.2899
_cell_length_b 11.2899
_cell_length_c 11.2899
_cell_angle_alpha 90.00
_cell_angle_beta 90.00
_cell_angle_gamma 90.00
_symmetry_space_group_name_H-M 'F m -3 m'
_symmetry_Int_Tables_number 225
_symmetry_space_group_name_Hall '-F 4 2 3'
loop_
_atom_site_label
_atom_site_type_symbol
_atom_site_fract_x
_atom_site_fract_y
_atom_site_fract_z
Ni1 Ni 0.0000 0.0000 0.0000
Ni2 Ni 0.0000 0.2500 0.2500
Ni3 Ni 0.1208 0.1208 0.1208
Ni4 Ni 0.1663 0.1663 0.3337
Os1 Os 0.0000 0.0000 0.5000
Rh1 Rh 0.0000 0.0000 0.2765
```

***

[3]
Tb5NdMg3: simulated PXRD pattern (Cu Kα (weighted mean of Kα1 and Kα2)), based on a structure optimized by DFT (GGA-PBE).
Kinematic intensities with the Lorentz-polarization factor, no thermal factor.

The 12 most intense peaks (2θ = 10–80°), most intense first:
(hkl)  Position (°2θ)  I_rel
2 2 1  27.17  1000
4 0 -2  29.79  423
1 3 -1  33.71  378
3 1 0  22.83  323
0 0 3  25.01  290
3 1 -3  31.93  241
4 0 2  33.82  240
0 0 4  33.55  219
2 2 -2  29.28  214
6 2 -1  46.37  206
2 0 -1  14.77  203
2 2 -3  34.43  190

Cell and atoms:
```
data_Tb5NdMg3
_chemical_formula_sum 'Tb20 Nd4 Mg12'
_cell_length_a 13.3338
_cell_length_b 8.3558
_cell_length_c 10.7853
_cell_angle_alpha 90.00
_cell_angle_beta 97.89
_cell_angle_gamma 90.00
_symmetry_space_group_name_H-M 'C 1 2/m 1'
_symmetry_Int_Tables_number 12
_symmetry_space_group_name_Hall '-C 2y'
loop_
_atom_site_label
_atom_site_type_symbol
_atom_site_fract_x
_atom_site_fract_y
_atom_site_fract_z
Tb1 Tb 0.0000 0.1727 0.0000
Tb2 Tb 0.0219 0.0000 0.6521
Tb3 Tb 0.1480 0.3068 0.7396
Tb4 Tb 0.2498 0.0000 0.9652
Nd1 Nd 0.1137 0.5000 0.2681
Mg1 Mg 0.0000 0.5000 0.0000
Mg2 Mg 0.0000 0.5000 0.5000
Mg3 Mg 0.1543 0.0000 0.2070
Mg4 Mg 0.2135 0.0000 0.4855
```

***

[4]
Ni2Sn3Sb3: simulated PXRD pattern (Cu Kα (weighted mean of Kα1 and Kα2)), based on a structure optimized by DFT (GGA-PBE).
Kinematic intensities with the Lorentz-polarization factor, no thermal factor.

The 12 most intense peaks (2θ = 10–80°), most intense first:
(hkl)  Position (°2θ)  I_rel
3 1 2  30.68  1000
2 3 2  36.48  403
2 2 6  43.94  254
8 -3 2  58.40  238
2 5 0  50.50  203
5 4 4  69.14  191
6 -4 4  48.39  182
0 5 4  46.21  109
6 0 6  60.26  95
3 3 0  41.58  93
1 0 4  23.65  80
2 0 2  19.26  73

Cell and atoms:
```
data_Ni2Sn3Sb3
_chemical_formula_sum 'Ni24 Sn36 Sb36'
_cell_length_a 13.0384
_cell_length_b 13.0384
_cell_length_c 15.9430
_cell_angle_alpha 90.00
_cell_angle_beta 90.00
_cell_angle_gamma 120.00
_symmetry_space_group_name_H-M 'R -3'
_symmetry_Int_Tables_number 148
_symmetry_space_group_name_Hall '-R 3'
loop_
_atom_site_label
_atom_site_type_symbol
_atom_site_fract_x
_atom_site_fract_y
_atom_site_fract_z
Ni1 Ni 0.0000 0.0000 0.2468
Ni2 Ni 0.0001 0.4994 0.2470
Sn1 Sn 0.0023 0.1663 0.3365
Sn2 Sn 0.0566 0.7825 0.9439
Sb1 Sb 0.0058 0.1702 0.8350
Sb2 Sb 0.0567 0.6086 0.1075
```